The following is a theoretical powder X-ray diffraction pattern of MgMn3Cu2O8. It was derived from DFT lattice parameters and positions (PBE+U), using CuKα.
Peak positions follow from Bragg's law for the DFT cell and can differ from measured ones.

Structure:
```
data_MgMn3Cu2O8
_chemical_formula_sum 'Mg4 Mn12 Cu8 O32'
_cell_length_a 8.4552
_cell_length_b 8.4552
_cell_length_c 8.4552
_cell_angle_alpha 90.00
_cell_angle_beta 90.00
_cell_angle_gamma 90.00
_space_group_name_H-M_alt 'P 43 3 2'
_space_group_IT_number 212
_space_group_name_Hall 'P 4acd 2ab 3'
loop_
_atom_site_label
_atom_site_type_symbol
_atom_site_fract_x
_atom_site_fract_y
_atom_site_fract_z
Mg1 Mg 0.1250 0.1250 0.1250
Mn1 Mn 0.1214 0.8714 0.8750
Cu1 Cu 0.0068 0.9932 0.4932
O1 O 0.1032 0.8781 0.1099
O2 O 0.1166 0.3834 0.6166
```

The 10 most intense peaks (2θ = 10–90°), in order of falling intensity:
- 35.20 deg, rel. 100, hkl 3 1 1
- 62.10 deg, rel. 43, hkl 4 4 0
- 29.89 deg, rel. 43, hkl 2 2 0
- 56.56 deg, rel. 37, hkl 5 1 1
- 88.91 deg, rel. 16, hkl 5 5 3
- 53.06 deg, rel. 14, hkl 4 2 2
- 42.78 deg, rel. 12, hkl 4 0 0
- 73.44 deg, rel. 10, hkl 5 3 3
- 23.53 deg, rel. 7, hkl 2 1 0
- 86.05 deg, rel. 7, hkl 6 4 2